The following is a calculated X-ray powder pattern of Cs2BaCuCl6. It was derived from a structure optimized by DFT (GGA-PBE), using a wavelength of 1.5418 Å.
Neutral-atom scattering factors, no anomalous dispersion.

Principal peaks in the range 2θ = 10–80°, low angle first:
- 2θ 22.21, d 4.002, intensity 100
- 2θ 23.64, d 3.763, intensity 45
- 2θ 27.89, d 3.199, intensity 27
- 2θ 29.42, d 3.036, intensity 37
- 2θ 33.68, d 2.661, intensity 48
- 2θ 38.08, d 2.363, intensity 26
- 2θ 40.72, d 2.216, intensity 37
- 2θ 45.32, d 2.001, intensity 40
- 2θ 48.37, d 1.882, intensity 15
- 2θ 57.63, d 1.599, intensity 18

Structural model:
```
Cs2BaCuCl6
1.0
-3.763 3.763 6.071
3.763 -3.763 6.071
3.763 3.763 -6.071
Cs Ba Cu Cl
2 1 1 6
Direct
0.250 0.750 0.500
0.750 0.250 0.500
0.000 0.000 0.000
0.500 0.500 0.000
0.246 0.246 0.000
0.284 0.284 0.568
0.284 0.716 0.000
0.716 0.284 0.000
0.716 0.716 0.432
0.754 0.754 0.000
```

=====

The following is a calculated X-ray powder pattern of CsBaFe2Cl8. It was derived from a structure optimized by DFT (GGA-PBE), using a wavelength of 1.5418 Å.
Neutral-atom scattering factors, no anomalous dispersion.

Principal peaks in the range 2θ = 10–80°, low angle first:
- 2θ 16.39, d 5.409, intensity 92
- 2θ 21.08, d 4.215, intensity 100
- 2θ 22.38, d 3.973, intensity 96
- 2θ 23.74, d 3.749, intensity 51
- 2θ 27.45, d 3.250, intensity 80
- 2θ 28.88, d 3.091, intensity 60
- 2θ 30.65, d 2.917, intensity 49
- 2θ 32.78, d 2.732, intensity 32
- 2θ 35.20, d 2.550, intensity 34
- 2θ 45.87, d 1.978, intensity 36

Structural model:
```
CsBaFe2Cl8
1.0
5.439 -3.749 0.000
5.439 3.749 0.000
-1.146 0.000 10.930
Cs Ba Fe Cl
1 1 2 8
Direct
0.000 0.000 0.000
0.000 0.000 0.500
0.405 0.405 0.729
0.595 0.595 0.271
0.227 0.720 0.273
0.280 0.773 0.727
0.288 0.288 0.545
0.315 0.315 0.900
0.685 0.685 0.100
0.712 0.712 0.455
0.720 0.227 0.273
0.773 0.280 0.727
```

=====

The following is a calculated X-ray powder pattern of Cs2BaHCl6. It was derived from a structure optimized by DFT (GGA-PBE), using a wavelength of 1.5418 Å.
Neutral-atom scattering factors, no anomalous dispersion.

Principal peaks in the range 2θ = 10–80°, low angle first:
- 2θ 21.65, d 4.105, intensity 100
- 2θ 24.63, d 3.615, intensity 38
- 2θ 25.88, d 3.443, intensity 51
- 2θ 27.87, d 3.201, intensity 47
- 2θ 28.35, d 3.148, intensity 30
- 2θ 35.11, d 2.556, intensity 40
- 2θ 36.02, d 2.493, intensity 25
- 2θ 41.62, d 2.170, intensity 27
- 2θ 43.18, d 2.095, intensity 34
- 2θ 44.12, d 2.052, intensity 37

Structural model:
```
Cs2BaHCl6
1.0
-3.615 3.615 6.887
3.615 -3.615 6.887
3.615 3.615 -6.887
Cs Ba H Cl
2 1 1 6
Direct
0.250 0.750 0.500
0.750 0.250 0.500
0.000 0.000 0.000
0.500 0.500 0.000
0.218 0.218 0.000
0.299 0.299 0.598
0.299 0.701 0.000
0.701 0.299 0.000
0.701 0.701 0.402
0.782 0.782 0.000
```

=====

The following is a calculated X-ray powder pattern of Cs3BaMg2Cl9. It was derived from a structure optimized by DFT (GGA-PBE), using a wavelength of 1.5418 Å.
Neutral-atom scattering factors, no anomalous dispersion.

Principal peaks in the range 2θ = 10–80°, low angle first:
- 2θ 16.36, d 5.419, intensity 14
- 2θ 22.91, d 3.882, intensity 76
- 2θ 23.51, d 3.783, intensity 64
- 2θ 28.78, d 3.102, intensity 55
- 2θ 33.06, d 2.710, intensity 100
- 2θ 40.97, d 2.203, intensity 29
- 2θ 46.80, d 1.941, intensity 25
- 2θ 48.10, d 1.892, intensity 31
- 2θ 53.91, d 1.701, intensity 16
- 2θ 59.60, d 1.551, intensity 16

Structural model:
```
Cs3BaMg2Cl9
1.0
7.567 0.000 0.000
-3.783 6.553 0.000
0.000 0.000 9.639
Cs Ba Mg Cl
3 1 2 9
Direct
0.000 0.000 0.000
0.333 0.667 0.698
0.667 0.333 0.302
0.000 0.000 0.500
0.333 0.667 0.152
0.667 0.333 0.848
0.000 0.500 0.000
0.178 0.357 0.303
0.178 0.822 0.303
0.357 0.178 0.697
0.500 0.000 0.000
0.500 0.500 0.000
0.643 0.822 0.303
0.822 0.178 0.697
0.822 0.643 0.697
```